1.
For Ta2VIr, a DFT-relaxed cell (PBE, the Materials Project) gives the calculated XRD peak list in this record (Cu Kα (λ = 1.5418 Å)).
Lines closer than 0.1° are merged.

```
4
Lattice="0.0000 3.1734 3.1734 3.1734 0.0000 3.1734 3.1734 3.1734 0.0000" Properties=species:S:1:pos:R:3 pbc="T T T"
Ta 1.5867 1.5867 1.5867
Ta 4.7601 4.7601 4.7601
V 0.0000 0.0000 0.0000
Ir 3.1734 3.1734 3.1734
```

Principal peaks in the range 10° ≤ 2θ ≤ 90°, by angle:
2theta	I_rel
24.29	13
28.12	5
40.19	100
47.51	7
58.14	17
63.94	3
65.80	2
73.03	35
78.27	2
86.80	11

2.
For Tb5Ir3, a DFT-relaxed cell (PBE, the Materials Project) gives the calculated XRD peak list in this record (Cu Kα (λ = 1.5418 Å)).
Lines closer than 0.1° are merged.

```
32
Lattice="10.9605 0.0000 0.0000 0.0000 10.9605 0.0000 0.0000 0.0000 6.3987" Properties=species:S:1:pos:R:3 pbc="T T T"
Tb 0.4500 1.7720 0.7771
Tb 0.4500 3.7083 3.9765
Tb 1.7720 0.4500 3.9765
Tb 1.7720 5.0303 0.7771
Tb 2.7401 8.2204 0.0000
Tb 2.7401 8.2204 3.1993
Tb 3.7083 0.4500 0.7771
Tb 3.7083 5.0303 3.9765
Tb 5.0303 1.7720 3.9765
Tb 5.0303 3.7083 0.7771
Tb 5.9302 7.2523 5.6216
Tb 5.9302 9.1885 2.4222
Tb 7.2523 5.9302 2.4222
Tb 7.2523 10.5105 5.6216
Tb 8.2204 2.7401 0.0000
Tb 8.2204 2.7401 3.1993
Tb 9.1885 5.9302 5.6216
Tb 9.1885 10.5105 2.4222
Tb 10.5105 7.2523 2.4222
Tb 10.5105 9.1885 5.6216
Ir 1.0553 6.5355 4.7990
Ir 1.0553 9.9053 1.5997
Ir 2.7401 2.7401 2.4297
Ir 2.7401 2.7401 5.6290
Ir 4.4250 6.5355 1.5997
Ir 4.4250 9.9053 4.7990
Ir 6.5355 1.0553 1.5997
Ir 6.5355 4.4250 4.7990
Ir 8.2204 8.2204 0.7697
Ir 8.2204 8.2204 3.9690
Ir 9.9053 1.0553 4.7990
Ir 9.9053 4.4250 1.5997
```

Principal peaks in the range 10° ≤ 2θ ≤ 90°, by angle:
2theta	I_rel
22.87	22
29.31	37
32.61	33
33.45	42
36.64	100
37.36	20
38.29	26
43.48	14
46.43	21
46.85	19

3.
For TbIr2, a DFT-relaxed cell (PBE, the Materials Project) gives the calculated XRD peak list in this record (Cu Kα (λ = 1.5418 Å)).
Lines closer than 0.1° are merged.

```
6
Lattice="0.0000 3.7987 3.7987 3.7987 0.0000 3.7987 3.7987 3.7987 0.0000" Properties=species:S:1:pos:R:3 pbc="T T T"
Tb 0.9497 0.9497 0.9497
Tb 6.6477 6.6477 6.6477
Ir 3.7987 1.8993 1.8993
Ir 1.8993 3.7987 1.8993
Ir 1.8993 1.8993 3.7987
Ir 3.7987 3.7987 3.7987
```

Principal peaks in the range 10° ≤ 2θ ≤ 90°, by angle:
2theta	I_rel
20.25	12
33.36	21
39.33	100
41.16	47
47.89	8
59.62	8
63.64	33
70.06	30
83.43	12
84.61	18

4.
For Tb5Ir3, a DFT-relaxed cell (PBE, the Materials Project) gives the calculated XRD peak list in this record (Cu Kα (λ = 1.5418 Å)).
Lines closer than 0.1° are merged.

```
16
Lattice="8.3469 0.0000 0.0000 -4.1734 7.2286 0.0000 0.0000 0.0000 6.2812" Properties=species:S:1:pos:R:3 pbc="T T T"
Tb -1.0878 1.8842 1.5703
Tb -3.0856 5.3444 4.7109
Tb 2.1757 0.0000 1.5703
Tb 1.0878 1.8842 4.7109
Tb 0.0000 4.8191 0.0000
Tb 0.0000 4.8191 3.1406
Tb 4.1735 2.4095 0.0000
Tb 4.1735 2.4095 3.1406
Tb 6.1712 0.0000 4.7109
Tb 3.0856 5.3444 1.5703
Ir -1.6251 2.8147 4.7109
Ir -2.5484 4.4139 1.5703
Ir 3.2502 0.0000 4.7109
Ir 1.6251 2.8147 1.5703
Ir 5.0967 0.0000 1.5703
Ir 2.5484 4.4139 4.7109
```

Principal peaks in the range 10° ≤ 2θ ≤ 90°, by angle:
2theta	I_rel
12.24	9
28.42	15
32.78	11
35.81	100
37.32	34
47.60	16
52.66	10
55.28	14
71.75	10
71.89	7